This entry pairs a crystal structure of Ba4LiNb3O12 with its simulated XRD peak list. Radiation: a wavelength of 1.5418 Å. Structure: a DFT-relaxed cell (PBE, the Materials Project).
Intensities are scaled so that the largest is 100.

Peak list (10 most intense, 2θ = 10–90°, by intensity)
2θ 30.37, d 2.944, I 100, (1 1 0)
2θ 28.92, d 3.088, I 78, (1 0 5)
2θ 42.43, d 2.131, I 44, (2 0 5)
2θ 53.06, d 1.726, I 28, (2 1 5)
2θ 25.34, d 3.514, I 27, (1 0 4)
2θ 63.17, d 1.472, I 20, (2 2 0)
2θ 53.95, d 1.699, I 20, (3 0 0)
2θ 32.80, d 2.731, I 19, (1 0 6)
2θ 45.30, d 2.002, I 15, (2 0 6)
2θ 39.95, d 2.257, I 14, (2 0 4)

Crystal structure
```
data_Ba4LiNb3O12
_chemical_formula_sum 'Ba8 Li2 Nb6 O24'
_cell_length_a 5.8872
_cell_length_b 5.8872
_cell_length_c 19.4010
_cell_angle_alpha 90.00
_cell_angle_beta 90.00
_cell_angle_gamma 120.00
_space_group_name_H-M_alt 'P 63 m c'
_space_group_IT_number 186
_space_group_name_Hall 'P 6c -2c'
loop_
_atom_site_label
_atom_site_fract_x
_atom_site_fract_y
_atom_site_fract_z
Ba1 0.0000 0.0000 0.0000
Ba2 0.3333 0.6667 0.1430
Ba3 0.3333 0.6667 0.3699
Ba4 0.3333 0.6667 0.7498
Li1 0.0000 0.0000 0.1649
Nb1 0.0000 0.0000 0.3072
Nb2 0.3333 0.6667 0.5666
Nb3 0.3333 0.6667 0.9388
O1 0.0027 0.5014 0.9957
O2 0.1593 0.3186 0.2556
O3 0.1696 0.3391 0.8772
O4 0.1729 0.3459 0.6173
```


This entry pairs a crystal structure of BaLi4O3 with its simulated XRD peak list. Radiation: a wavelength of 1.5418 Å. Structure: a DFT-relaxed cell (PBE, the Materials Project).
Intensities are scaled so that the largest is 100.

Peak list (10 most intense, 2θ = 10–90°, by intensity)
2θ 19.26, d 4.609, I 100, (0 2 0)
2θ 26.68, d 3.341, I 93, (1 1 3)
2θ 38.64, d 2.330, I 47, (1 3 3)
2θ 32.62, d 2.745, I 35, (0 2 4)
2θ 36.64, d 2.452, I 31, (2 2 0)
2θ 30.84, d 2.899, I 29, (2 0 0)
2θ 40.79, d 2.212, I 16, (2 0 4)
2θ 12.93, d 6.846, I 16, (0 0 2)
2θ 50.22, d 1.817, I 15, (1 1 7)
2θ 60.12, d 1.539, I 15, (3 3 3)

Crystal structure
```
data_BaLi4O3
_chemical_formula_sum 'Ba8 Li32 O24'
_cell_length_a 5.799
_cell_length_b 9.195
_cell_length_c 13.691
_cell_angle_alpha 90.00
_cell_angle_beta 90.00
_cell_angle_gamma 90.00
_space_group_name_H-M_alt 'C m c 21'
_space_group_IT_number 36
_space_group_name_Hall 'C 2c -2'
loop_
_atom_site_label
_atom_site_fract_x
_atom_site_fract_y
_atom_site_fract_z
Ba1 0.000 0.227 0.000
Ba2 0.000 0.271 0.313
Li1 0.000 0.050 0.813
Li2 0.000 0.084 0.479
Li3 0.000 0.416 0.835
Li4 0.000 0.451 0.497
Li5 0.177 0.388 0.664
Li6 0.178 0.123 0.650
O1 0.000 0.062 0.166
O2 0.000 0.247 0.758
O3 0.000 0.257 0.553
O4 0.000 0.431 0.147
O5 0.247 0.007 0.406
```


This entry pairs a crystal structure of BaLi4O3 with its simulated XRD peak list. Radiation: a wavelength of 1.5418 Å. Structure: a DFT-relaxed cell (PBE, the Materials Project).
Intensities are scaled so that the largest is 100.

Peak list (10 most intense, 2θ = 10–90°, by intensity)
2θ 19.20, d 4.622, I 100, (0 2 0)
2θ 26.62, d 3.349, I 96, (1 1 3)
2θ 38.54, d 2.336, I 48, (1 3 3)
2θ 32.56, d 2.750, I 36, (0 2 4)
2θ 36.51, d 2.461, I 32, (2 2 0)
2θ 30.72, d 2.910, I 30, (2 0 0)
2θ 50.14, d 1.819, I 16, (1 1 7)
2θ 40.67, d 2.218, I 16, (2 0 4)
2θ 59.90, d 1.544, I 15, (3 3 3)
2θ 12.92, d 6.854, I 15, (0 0 2)

Crystal structure
```
data_BaLi4O3
_chemical_formula_sum 'Ba8 Li32 O24'
_cell_length_a 5.820
_cell_length_b 9.221
_cell_length_c 13.707
_cell_angle_alpha 90.00
_cell_angle_beta 90.00
_cell_angle_gamma 90.00
_space_group_name_H-M_alt 'C m c e'
_space_group_IT_number 64
_space_group_name_Hall '-C 2ac 2'
loop_
_atom_site_label
_atom_site_fract_x
_atom_site_fract_y
_atom_site_fract_z
Ba1 0.000 0.021 0.157
Li1 0.000 0.164 0.678
Li2 0.000 0.202 0.340
Li3 0.175 0.134 0.506
O1 0.000 0.005 0.399
O2 0.000 0.189 0.991
O3 0.250 0.241 0.750
```